Sr2MgCoWO6: computed powder diffraction line list (Cu Kα, 1.54184 Å), based on a PBE+U-relaxed structure.
Kinematic intensities with the Lorentz-polarization factor, no thermal factor.

Principal peaks in the range 2θ = 10–90°, in order of rising 2θ:
4.956 Å, I = 56, hkl 1 0 0
3.431 Å, I = 70, hkl 1 -1 1
3.233 Å, I = 100, hkl -1 1 1
3.130 Å, I = 56, hkl 1 1 0
2.919 Å, I = 73, hkl 0 2 -1
2.858 Å, I = 62, hkl 1 1 -2

Cell and atoms:
```
data_Sr2MgCoWO6
_chemical_formula_sum 'Sr2 Mg1 Co1 W1 O6'
_space_group_name_H-M_alt 'P -1'
_space_group_IT_number 2
_space_group_name_Hall '-P 1'
_cell_length_a 5.416
_cell_length_b 5.926
_cell_length_c 6.136
_cell_angle_alpha 113.14
_cell_angle_beta 105.79
_cell_angle_gamma 99.60
loop_
_atom_site_label
_atom_site_type_symbol
_atom_site_fract_x
_atom_site_fract_y
_atom_site_fract_z
_atom_site_occupancy
Sr1 Sr 0.174 0.232 0.409 1
Mg1 Mg 0.500 0.500 0.000 1
Co1 Co 0.500 0.000 0.000 1
W1 W 0.000 0.500 0.000 1
O1 O 0.135 0.204 0.806 1
O2 O 0.225 0.680 0.855 1
O3 O 0.332 0.597 0.287 1
```